[1]
# NbIr4
Computed powder XRD pattern, copper Kα. Input: a structure optimized by DFT (PBE).
Intensities are scaled so that the largest is 100.

Largest 6 diffraction maxima, by intensity, 10° ≤ 2θ ≤ 90°:
- d = 2.253 Å, intensity 100
- d = 2.261 Å, intensity 84
- d = 2.064 Å, intensity 39
- d = 2.132 Å, intensity 30
- d = 1.226 Å, intensity 27
- d = 1.176 Å, intensity 25

Structural model:
```
NbIr4
1.0
-2.064 2.758 6.722
2.064 -2.758 6.722
2.064 2.758 -6.722
Nb Ir
2 8
Cartesian
0.000 1.379 1.462 Nb
2.064 1.379 5.261 Nb
2.064 0.000 0.000 Ir
2.064 -1.379 5.368 Ir
2.064 -0.048 2.619 Ir
2.064 2.710 -2.619 Ir
0.000 0.000 6.722 Ir
0.000 0.048 9.341 Ir
0.000 2.806 4.104 Ir
0.000 4.137 1.355 Ir
```

---

[2]
# Nb2Ni3Ir3
Computed powder XRD pattern, copper Kα. Input: a structure optimized by DFT (PBE).
Intensities are scaled so that the largest is 100.

Largest 6 diffraction maxima, by intensity, 10° ≤ 2θ ≤ 90°:
- d = 2.207 Å, intensity 100
- d = 1.927 Å, intensity 33
- d = 1.346 Å, intensity 20
- d = 1.880 Å, intensity 15
- d = 1.160 Å, intensity 13
- d = 1.138 Å, intensity 12

Structural model:
```
Nb2Ni3Ir3
1.0
3.759 0.000 0.000
0.000 3.858 0.000
0.000 0.000 7.702
Nb Ni Ir
2 3 3
Cartesian
0.000 0.000 1.891 Nb
0.000 0.000 5.811 Nb
0.000 1.929 0.000 Ni
0.000 1.929 3.851 Ni
1.880 0.000 0.000 Ni
1.880 0.000 3.851 Ir
1.880 1.929 1.862 Ir
1.880 1.929 5.840 Ir
```

---

[3]
# ScNbIrO6
Computed powder XRD pattern, copper Kα. Input: a structure optimized by DFT (PBE).
Intensities are scaled so that the largest is 100.

Largest 6 diffraction maxima, by intensity, 10° ≤ 2θ ≤ 90°:
- d = 3.245 Å, intensity 100
- d = 4.793 Å, intensity 74
- d = 2.248 Å, intensity 65
- d = 1.745 Å, intensity 64
- d = 2.546 Å, intensity 57
- d = 4.006 Å, intensity 29

Structural model:
```
ScNbIrO6
1.0
5.091 0.000 0.000
-2.546 4.409 0.000
0.000 0.000 9.585
Sc Nb Ir O
2 2 2 12
Cartesian
0.000 0.000 0.000 Sc
0.000 0.000 4.793 Sc
0.000 2.939 2.396 Nb
2.546 1.470 7.189 Nb
0.000 2.939 7.189 Ir
2.546 1.470 2.396 Ir
4.230 1.490 1.261 O
-0.859 1.490 6.054 O
3.405 2.919 3.532 O
-1.685 2.920 8.325 O
1.721 0.001 1.261 O
-0.825 4.408 6.054 O
0.861 1.490 3.532 O
0.859 1.490 8.325 O
3.371 0.001 3.532 O
0.825 4.408 8.325 O
1.686 2.919 1.261 O
1.685 2.920 6.054 O
```

---

[4]
# Nb2Ir2Os3
Computed powder XRD pattern, copper Kα. Input: a structure optimized by DFT (PBE).
Intensities are scaled so that the largest is 100.

Largest 6 diffraction maxima, by intensity, 10° ≤ 2θ ≤ 90°:
- d = 2.284 Å, intensity 100
- d = 2.203 Å, intensity 81
- d = 2.188 Å, intensity 47
- d = 2.176 Å, intensity 41
- d = 2.756 Å, intensity 25
- d = 1.945 Å, intensity 20

Structural model:
```
Nb2Ir2Os3
1.0
-3.545 3.615 4.473
3.545 -3.615 4.473
3.545 3.615 -4.473
Nb Ir Os
4 4 6
Cartesian
3.779 3.355 -4.147 Nb
0.234 0.260 4.147 Nb
-0.234 3.875 0.325 Nb
-0.234 3.355 4.147 Nb
4.735 -1.115 1.619 Ir
4.735 1.115 2.853 Ir
2.356 2.500 2.853 Ir
2.356 4.730 1.619 Ir
3.545 1.807 -2.003 Os
5.318 1.570 0.000 Os
2.140 0.000 2.236 Os
1.773 2.045 0.000 Os
0.000 1.807 2.003 Os
1.405 0.000 6.709 Os
```